Mg2Ga5Pd12: simulated powder diffraction line list (Cu Kα X-rays), based on a structure optimized by DFT (PBE).
Neutral-atom scattering factors, no anomalous dispersion.

Cell and atoms:
```
data_Mg2Ga5Pd12
_chemical_formula_sum 'Mg2 Ga5 Pd12'
_space_group_name_H-M_alt 'P 1'
_space_group_IT_number 1
_space_group_name_Hall 'P 1'
_cell_length_a 7.771
_cell_length_b 7.771
_cell_length_c 8.279
_cell_angle_alpha 104.01
_cell_angle_beta 104.01
_cell_angle_gamma 42.52
loop_
_atom_site_label
_atom_site_type_symbol
_atom_site_fract_x
_atom_site_fract_y
_atom_site_fract_z
Mg1 Mg 0.247 0.753 0.000
Mg2 Mg 0.753 0.247 0.000
Ga1 Ga 0.000 0.000 0.500
Ga2 Ga 0.307 0.307 0.637
Ga3 Ga 0.346 0.346 0.149
Ga4 Ga 0.654 0.654 0.851
Ga5 Ga 0.693 0.693 0.363
Pd1 Pd 0.057 0.560 0.891
Pd2 Pd 0.089 0.089 0.284
Pd3 Pd 0.097 0.597 0.406
Pd4 Pd 0.403 0.903 0.594
Pd5 Pd 0.440 0.943 0.109
Pd6 Pd 0.486 0.486 0.673
Pd7 Pd 0.514 0.514 0.327
Pd8 Pd 0.560 0.057 0.891
Pd9 Pd 0.597 0.097 0.406
Pd10 Pd 0.903 0.403 0.594
Pd11 Pd 0.911 0.911 0.716
Pd12 Pd 0.943 0.440 0.109
```

Principal peaks in the range 2θ = 15–90°, by angle:
2θ 18.9, d = 4.694 Å, rel. 33; 2θ 34.3, d = 2.614 Å, rel. 44; 2θ 38.6, d = 2.331 Å, rel. 35; 2θ 39.1, d = 2.302 Å, rel. 43; 2θ 39.3, d = 2.292 Å, rel. 84; 2θ 43.2, d = 2.096 Å, rel. 66; 2θ 43.7, d = 2.070 Å, rel. 100; 2θ 44.6, d = 2.034 Å, rel. 49